Starting from a structure optimized by DFT (GGA-PBE), the powder diffraction line list of Na3Hf2Si2PO12 was calculated for Cu Kα (λ = 1.5418 Å).
Neutral-atom scattering factors, no anomalous dispersion.

Principal peaks in the range 10° ≤ 2θ ≤ 90°, low angle first:
| 2theta | I/Imax |
| --- | --- |
| 19.3 | 88 |
| 19.4 | 100 |
| 27.5 | 28 |
| 30.8 | 49 |
| 34.0 | 66 |
| 53.1 | 26 |

Structural model:
```
Na3Hf2Si2PO12
1.0
7.902 -4.568 0.000
7.902 4.568 0.000
-5.320 0.000 7.517
Na Hf Si P O
6 4 4 2 24
direct
0.064 0.936 0.500
0.311 0.830 0.242
0.563 0.708 0.994
0.708 0.563 0.494
0.830 0.311 0.742
0.936 0.064 0.000
0.162 0.663 0.799
0.456 0.967 0.679
0.663 0.162 0.299
0.967 0.456 0.179
0.060 0.264 0.478
0.264 0.060 0.978
0.769 0.855 0.487
0.855 0.769 0.987
0.359 0.566 0.497
0.566 0.359 0.997
0.019 0.290 0.297
0.037 0.750 0.974
0.076 0.226 0.994
0.097 0.443 0.645
0.189 0.533 0.337
0.226 0.076 0.494
0.256 0.884 0.979
0.290 0.019 0.797
0.340 0.603 0.671
0.373 0.731 0.501
0.407 0.533 0.975
0.443 0.097 0.145
0.533 0.189 0.837
0.533 0.407 0.475
0.590 0.871 0.503
0.603 0.340 0.171
0.679 0.805 0.812
0.731 0.373 0.001
0.750 0.037 0.474
0.805 0.679 0.312
0.822 0.948 0.162
0.871 0.590 0.003
0.884 0.256 0.479
0.948 0.822 0.662
```